This entry pairs a crystal structure of Sr2SmWO6 with its simulated XRD peak list. Radiation: CuKα. Structure: a DFT-relaxed cell (GGA+U, the Materials Project).
No peak broadening, texture or thermal motion is included.

Top 12 peaks for 10° ≤ 2θ ≤ 90°, in order of falling intensity:
- 2θ = 29.7°, d 3.011, intensity 100
- 2θ = 52.7°, d 1.738, intensity 41
- 2θ = 42.5°, d 2.129, intensity 30
- 2θ = 85.3°, d 1.138, intensity 22
- 2θ = 20.9°, d 4.258, intensity 19
- 2θ = 61.6°, d 1.505, intensity 19
- 2θ = 69.9°, d 1.346, intensity 18
- 2θ = 47.8°, d 1.904, intensity 8
- 2θ = 77.7°, d 1.229, intensity 6
- 2θ = 65.8°, d 1.419, intensity 4
- 2θ = 18.0°, d 4.916, intensity 2
- 2θ = 81.5°, d 1.181, intensity 2

Crystal structure
```
data_Sr2SmWO6
_cell_length_a 8.515
_cell_length_b 8.515
_cell_length_c 8.515
_cell_angle_alpha 90.00
_cell_angle_beta 90.00
_cell_angle_gamma 90.00
_symmetry_space_group_name_H-M 'F m -3 m'
_symmetry_Int_Tables_number 225
_symmetry_space_group_name_Hall '-F 4 2 3'
loop_
_atom_site_label
_atom_site_fract_x
_atom_site_fract_y
_atom_site_fract_z
_atom_site_occupancy
Sr1 0.250 0.250 0.250 1
Sm1 0.000 0.000 0.000 1
W1 0.000 0.000 0.500 1
O1 0.000 0.000 0.266 1
```



This entry pairs a crystal structure of Li2MnF5 with its simulated XRD peak list. Radiation: CuKα. Structure: a DFT-relaxed cell (GGA+U, the Materials Project).
No peak broadening, texture or thermal motion is included.

Top 12 peaks for 10° ≤ 2θ ≤ 90°, in order of falling intensity:
- 2θ = 25.2°, d 3.530, intensity 100
- 2θ = 18.0°, d 4.940, intensity 61
- 2θ = 23.5°, d 3.788, intensity 43
- 2θ = 46.2°, d 1.965, intensity 42
- 2θ = 18.2°, d 4.865, intensity 42
- 2θ = 51.8°, d 1.766, intensity 39
- 2θ = 25.7°, d 3.466, intensity 39
- 2θ = 44.2°, d 2.050, intensity 39
- 2θ = 20.2°, d 4.405, intensity 31
- 2θ = 39.7°, d 2.271, intensity 29
- 2θ = 65.8°, d 1.419, intensity 23
- 2θ = 33.0°, d 2.711, intensity 22

Crystal structure
```
data_Li2MnF5
_cell_length_a 4.101
_cell_length_b 9.879
_cell_length_c 9.729
_cell_angle_alpha 90.00
_cell_angle_beta 90.00
_cell_angle_gamma 90.00
_symmetry_space_group_name_H-M 'C m c m'
_symmetry_Int_Tables_number 63
_symmetry_space_group_name_Hall '-C 2c 2'
loop_
_atom_site_label
_atom_site_fract_x
_atom_site_fract_y
_atom_site_fract_z
_atom_site_occupancy
Li1 0.000 0.139 0.071 1
Mn1 0.000 0.190 0.750 1
F1 0.000 0.054 0.617 1
F2 0.000 0.253 0.250 1
F3 0.000 0.313 0.596 1
```



This entry pairs a crystal structure of Rb4BaV6O18 with its simulated XRD peak list. Radiation: CuKα. Structure: a DFT-relaxed cell (GGA+U, the Materials Project).
No peak broadening, texture or thermal motion is included.

Top 12 peaks for 10° ≤ 2θ ≤ 90°, in order of falling intensity:
- 2θ = 26.8°, d 3.322, intensity 100
- 2θ = 26.4°, d 3.379, intensity 77
- 2θ = 23.1°, d 3.857, intensity 69
- 2θ = 29.7°, d 3.012, intensity 44
- 2θ = 11.5°, d 7.715, intensity 38
- 2θ = 34.9°, d 2.574, intensity 32
- 2θ = 37.0°, d 2.433, intensity 27
- 2θ = 22.0°, d 4.047, intensity 23
- 2θ = 25.4°, d 3.505, intensity 21
- 2θ = 28.0°, d 3.191, intensity 19
- 2θ = 56.1°, d 1.638, intensity 18
- 2θ = 46.7°, d 1.944, intensity 17

Crystal structure
```
data_Rb4BaV6O18
_cell_length_a 14.0182
_cell_length_b 14.0182
_cell_length_c 19.9834
_cell_angle_alpha 90.00
_cell_angle_beta 90.00
_cell_angle_gamma 120.00
_symmetry_space_group_name_H-M 'R 3 c'
_symmetry_Int_Tables_number 161
_symmetry_space_group_name_Hall 'R 3 -2"c'
loop_
_atom_site_label
_atom_site_fract_x
_atom_site_fract_y
_atom_site_fract_z
_atom_site_occupancy
Rb1 0.0000 0.0000 0.0000 1
Rb2 0.0829 0.3356 0.3329 1
Ba1 0.0000 0.0000 0.2678 1
V1 0.0635 0.2549 0.1427 1
V2 0.1456 0.4211 0.5238 1
O1 0.0002 0.3447 0.5045 1
O2 0.0350 0.1495 0.8770 1
O3 0.1052 0.2153 0.7090 1
O4 0.1668 0.0229 0.0985 1
O5 0.1722 0.3526 0.5924 1
O6 0.2075 0.4265 0.9560 1
```



This entry pairs a crystal structure of MgV4O8 with its simulated XRD peak list. Radiation: CuKα. Structure: a DFT-relaxed cell (GGA+U, the Materials Project).
No peak broadening, texture or thermal motion is included.

Top 12 peaks for 10° ≤ 2θ ≤ 90°, in order of falling intensity:
- 2θ = 22.5°, d 3.955, intensity 100
- 2θ = 18.2°, d 4.862, intensity 54
- 2θ = 32.5°, d 2.751, intensity 50
- 2θ = 31.3°, d 2.859, intensity 50
- 2θ = 32.6°, d 2.745, intensity 34
- 2θ = 34.6°, d 2.592, intensity 29
- 2θ = 31.7°, d 2.820, intensity 21
- 2θ = 22.7°, d 3.920, intensity 18
- 2θ = 57.4°, d 1.607, intensity 16
- 2θ = 32.8°, d 2.732, intensity 16
- 2θ = 56.4°, d 1.631, intensity 14
- 2θ = 57.0°, d 1.615, intensity 13

Crystal structure
```
data_MgV4O8
_cell_length_a 5.633
_cell_length_b 5.648
_cell_length_c 6.627
_cell_angle_alpha 89.71
_cell_angle_beta 89.84
_cell_angle_gamma 60.91
_symmetry_space_group_name_H-M 'P 1'
_symmetry_Int_Tables_number 1
_symmetry_space_group_name_Hall 'P 1'
loop_
_atom_site_label
_atom_site_fract_x
_atom_site_fract_y
_atom_site_fract_z
_atom_site_occupancy
Mg1 0.000 0.000 0.000 1
V1 0.264 0.268 0.005 1
V2 0.449 0.453 0.505 1
V3 0.769 0.774 0.723 1
V4 0.771 0.777 0.283 1
O1 0.059 0.630 0.004 1
O2 0.080 0.609 0.504 1
O3 0.148 0.153 0.199 1
O4 0.155 0.154 0.807 1
O5 0.557 0.559 0.713 1
O6 0.557 0.564 0.299 1
O7 0.605 0.085 0.504 1
O8 0.626 0.066 0.008 1
```



This entry pairs a crystal structure of Li4Cr3FeO8 with its simulated XRD peak list. Radiation: CuKα. Structure: a DFT-relaxed cell (GGA+U, the Materials Project).
No peak broadening, texture or thermal motion is included.

Top 12 peaks for 10° ≤ 2θ ≤ 90°, in order of falling intensity:
- 2θ = 18.2°, d 4.877, intensity 100
- 2θ = 43.1°, d 2.099, intensity 81
- 2θ = 35.5°, d 2.525, intensity 41
- 2θ = 62.4°, d 1.489, intensity 22
- 2θ = 62.7°, d 1.481, intensity 15
- 2θ = 56.8°, d 1.620, intensity 14
- 2θ = 37.2°, d 2.420, intensity 12
- 2θ = 65.9°, d 1.417, intensity 9
- 2θ = 47.2°, d 1.927, intensity 9
- 2θ = 62.9°, d 1.478, intensity 7
- 2θ = 79.3°, d 1.209, intensity 7
- 2θ = 81.5°, d 1.181, intensity 5

Crystal structure
```
data_Li4Cr3FeO8
_cell_length_a 10.334
_cell_length_b 5.911
_cell_length_c 5.136
_cell_angle_alpha 90.00
_cell_angle_beta 109.30
_cell_angle_gamma 90.00
_symmetry_space_group_name_H-M 'C 1 2 1'
_symmetry_Int_Tables_number 5
_symmetry_space_group_name_Hall 'C 2y'
loop_
_atom_site_label
_atom_site_fract_x
_atom_site_fract_y
_atom_site_fract_z
_atom_site_occupancy
Li1 0.250 0.000 0.000 1
Li2 0.250 0.250 0.499 1
Cr1 0.000 0.498 0.500 1
Cr2 0.000 0.752 0.000 1
Cr3 0.000 0.998 0.500 1
Fe1 0.000 0.251 0.000 1
O1 0.113 0.503 0.243 1
O2 0.113 0.748 0.743 1
O3 0.114 0.249 0.741 1
O4 0.114 0.999 0.244 1
```



This entry pairs a crystal structure of LiCoPO4 with its simulated XRD peak list. Radiation: CuKα. Structure: a DFT-relaxed cell (GGA+U, the Materials Project).
No peak broadening, texture or thermal motion is included.

Top 12 peaks for 10° ≤ 2θ ≤ 90°, in order of falling intensity:
- 2θ = 16.6°, d 5.328, intensity 100
- 2θ = 30.4°, d 2.939, intensity 25
- 2θ = 26.6°, d 3.348, intensity 17
- 2θ = 34.6°, d 2.594, intensity 15
- 2θ = 33.8°, d 2.653, intensity 14
- 2θ = 35.9°, d 2.504, intensity 11
- 2θ = 44.3°, d 2.046, intensity 9
- 2θ = 25.4°, d 3.500, intensity 8
- 2θ = 45.4°, d 1.998, intensity 8
- 2θ = 42.4°, d 2.132, intensity 8
- 2θ = 56.9°, d 1.619, intensity 7
- 2θ = 22.2°, d 3.999, intensity 6

Crystal structure
```
data_LiCoPO4
_cell_length_a 5.485
_cell_length_b 6.128
_cell_length_c 10.720
_cell_angle_alpha 90.00
_cell_angle_beta 103.72
_cell_angle_gamma 90.00
_symmetry_space_group_name_H-M 'P 1 21/c 1'
_symmetry_Int_Tables_number 14
_symmetry_space_group_name_Hall '-P 2ybc'
loop_
_atom_site_label
_atom_site_fract_x
_atom_site_fract_y
_atom_site_fract_z
_atom_site_occupancy
Li1 0.074 0.026 0.301 1
Co1 0.471 0.668 0.601 1
P1 0.372 0.157 0.640 1
O1 0.207 0.191 0.741 1
O2 0.283 0.549 0.059 1
O3 0.348 0.143 0.047 1
O4 0.356 0.643 0.777 1
```